# 1
For Li6Sm3Au5, DFT lattice parameters and positions (GGA-PBE) gives the simulated X-ray powder pattern in this record (λ = 1.5418 Å (Cu Kα)).
Neutral-atom scattering factors, no anomalous dispersion.

Principal peaks in the range 2θ from 10° to 80°, in order of rising 2θ:
2θ/deg  I/Imax
16.8  31.3
24.3  36.7
25.3  30.0
26.5  48.1
29.9  47.3
31.1  29.2
33.6  27.8
34.5  100.0
40.7  37.0
44.3  31.6
47.9  19.8
52.3  15.3

Atomic structure:
```
Li6Sm3Au5
1.0
4.092 0.000 0.000
0.000 13.119 0.000
0.000 0.000 10.544
Li Sm Au
12 6 10
direct
0.250 0.065 0.074 Li
0.250 0.250 0.515 Li
0.250 0.250 0.925 Li
0.250 0.435 0.074 Li
0.250 0.597 0.495 Li
0.250 0.903 0.495 Li
0.750 0.097 0.505 Li
0.750 0.403 0.505 Li
0.750 0.565 0.926 Li
0.750 0.750 0.075 Li
0.750 0.750 0.485 Li
0.750 0.935 0.926 Li
0.250 0.060 0.745 Sm
0.250 0.440 0.745 Sm
0.250 0.750 0.790 Sm
0.750 0.250 0.210 Sm
0.750 0.560 0.255 Sm
0.750 0.940 0.255 Sm
0.250 0.100 0.337 Au
0.250 0.400 0.337 Au
0.250 0.633 0.054 Au
0.250 0.750 0.305 Au
0.250 0.867 0.054 Au
0.750 0.133 0.946 Au
0.750 0.250 0.695 Au
0.750 0.367 0.946 Au
0.750 0.600 0.663 Au
0.750 0.900 0.663 Au
```

# 2
For Tm6InTe2, DFT lattice parameters and positions (GGA-PBE) gives the simulated X-ray powder pattern in this record (λ = 1.5418 Å (Cu Kα)).
Neutral-atom scattering factors, no anomalous dispersion.

Principal peaks in the range 2θ from 10° to 80°, in order of rising 2θ:
2θ/deg  I/Imax
24.7  4.3
32.8  26.8
33.2  100.0
33.9  24.3
47.4  8.3
47.9  18.6
58.8  28.2
59.6  8.4
60.2  18.0
69.7  10.5
79.0  6.3
79.7  8.0

Atomic structure:
```
Tm6InTe2
1.0
0.000 5.752 7.928
2.734 0.000 7.928
2.734 5.752 0.000
Tm In Te
6 1 2
direct
0.015 0.321 0.679 Tm
0.321 0.015 0.985 Tm
0.337 0.663 0.337 Tm
0.663 0.337 0.663 Tm
0.679 0.985 0.015 Tm
0.985 0.679 0.321 Tm
0.000 0.000 0.000 In
0.336 0.336 0.664 Te
0.664 0.664 0.336 Te
```